Entry 1:
Dy5Zr3Ni16As12: theoretical XRD peak list (copper Kα), based on DFT lattice parameters and positions (PBE).
Peak positions follow from Bragg's law for the DFT cell and can differ from measured ones.

The 10 most intense peaks (15° ≤ 2θ ≤ 90°), low angle first:
Position (°2θ), d/Å, I/Imax
29.2, 3.059, 12
33.4, 2.680, 28
36.4, 2.471, 100
37.3, 2.410, 83
45.8, 1.981, 13
46.4, 1.958, 37
49.6, 1.838, 32
55.9, 1.645, 19
70.2, 1.340, 22
74.5, 1.274, 14

Atomic structure:
```
data_Dy5Zr3Ni16As12
_chemical_formula_sum 'Dy5 Zr3 Ni16 As12'
_cell_length_a 12.7365
_cell_length_b 12.7365
_cell_length_c 3.9161
_cell_angle_alpha 90.00
_cell_angle_beta 90.00
_cell_angle_gamma 120.00
_space_group_name_H-M_alt 'P 1'
_space_group_IT_number 1
loop_
_space_group_symop_operation_xyz
'x,y,z'
loop_
_atom_site_label
_atom_site_fract_x
_atom_site_fract_y
_atom_site_fract_z
Dy1 0.0000 0.1847 0.0000
Dy2 0.1847 0.0000 0.0000
Dy3 0.3333 0.6667 0.5000
Dy4 0.6667 0.3333 0.5000
Dy5 0.8153 0.8153 0.0000
Zr1 0.0000 0.5640 0.5000
Zr2 0.4360 0.4360 0.5000
Zr3 0.5640 0.0000 0.5000
Ni1 0.0000 0.0000 0.5000
Ni2 0.0000 0.7243 0.0000
Ni3 0.1208 0.4832 0.0000
Ni4 0.1842 0.8070 0.5000
Ni5 0.1930 0.3773 0.5000
Ni6 0.2757 0.2757 0.0000
Ni7 0.3624 0.8792 0.0000
Ni8 0.3773 0.1930 0.5000
Ni9 0.4832 0.1208 0.0000
Ni10 0.5168 0.6376 0.0000
Ni11 0.6227 0.8158 0.5000
Ni12 0.6376 0.5168 0.0000
Ni13 0.7243 0.0000 0.0000
Ni14 0.8070 0.1842 0.5000
Ni15 0.8158 0.6227 0.5000
Ni16 0.8792 0.3624 0.0000
As1 0.0000 0.3562 0.5000
As2 0.0000 0.8217 0.5000
As3 0.1728 0.6935 0.0000
As4 0.1783 0.1783 0.5000
As5 0.3065 0.4793 0.0000
As6 0.3562 0.0000 0.5000
As7 0.4793 0.3065 0.0000
As8 0.5207 0.8272 0.0000
As9 0.6438 0.6438 0.5000
As10 0.6935 0.1728 0.0000
As11 0.8217 0.0000 0.5000
As12 0.8272 0.5207 0.0000
```


Entry 2:
DyTeAsO: theoretical XRD peak list (copper Kα), based on DFT lattice parameters and positions (PBE).
Peak positions follow from Bragg's law for the DFT cell and can differ from measured ones.

The 10 most intense peaks (15° ≤ 2θ ≤ 90°), low angle first:
Position (°2θ), d/Å, I/Imax
17.0, 5.208, 33
27.7, 3.215, 76
32.1, 2.785, 100
33.9, 2.646, 86
35.5, 2.527, 38
44.3, 2.043, 55
53.1, 1.725, 25
56.9, 1.617, 39
62.4, 1.488, 33
63.8, 1.459, 25

Atomic structure:
```
data_DyTeAsO
_chemical_formula_sum 'Dy2 Te2 As2 O2'
_cell_length_a 4.0869
_cell_length_b 4.0869
_cell_length_c 10.4167
_cell_angle_alpha 90.00
_cell_angle_beta 90.00
_cell_angle_gamma 90.00
_space_group_name_H-M_alt 'P 1'
_space_group_IT_number 1
loop_
_space_group_symop_operation_xyz
'x,y,z'
loop_
_atom_site_label
_atom_site_fract_x
_atom_site_fract_y
_atom_site_fract_z
Dy1 0.2500 0.2500 0.0970
Dy2 0.7500 0.7500 0.9030
Te1 0.2500 0.7500 0.5000
Te2 0.7500 0.2500 0.5000
As1 0.2500 0.2500 0.7335
As2 0.7500 0.7500 0.2665
O1 0.2500 0.7500 0.0000
O2 0.7500 0.2500 0.0000
```


Entry 3:
Dy4AsS3: theoretical XRD peak list (copper Kα), based on DFT lattice parameters and positions (PBE).
Peak positions follow from Bragg's law for the DFT cell and can differ from measured ones.

The 10 most intense peaks (15° ≤ 2θ ≤ 90°), low angle first:
Position (°2θ), d/Å, I/Imax
15.8, 5.602, 1
27.6, 3.234, 61
32.0, 2.801, 100
45.8, 1.981, 73
54.3, 1.689, 30
56.9, 1.617, 25
66.8, 1.400, 12
73.7, 1.285, 12
76.0, 1.253, 32
84.8, 1.143, 25

Atomic structure:
```
data_Dy4AsS3
_chemical_formula_sum 'Dy4 As1 S3'
_cell_length_a 5.6018
_cell_length_b 5.6018
_cell_length_c 5.6018
_cell_angle_alpha 90.00
_cell_angle_beta 90.00
_cell_angle_gamma 90.00
_space_group_name_H-M_alt 'P 1'
_space_group_IT_number 1
loop_
_space_group_symop_operation_xyz
'x,y,z'
loop_
_atom_site_label
_atom_site_fract_x
_atom_site_fract_y
_atom_site_fract_z
Dy1 0.0000 0.0000 0.0000
Dy2 0.0000 0.5000 0.5000
Dy3 0.5000 0.0000 0.5000
Dy4 0.5000 0.5000 0.0000
As1 0.5000 0.5000 0.5000
S1 0.0000 0.0000 0.5000
S2 0.0000 0.5000 0.0000
S3 0.5000 0.0000 0.0000
```


Entry 4:
Dy2ScAs3: theoretical XRD peak list (copper Kα), based on DFT lattice parameters and positions (PBE).
Peak positions follow from Bragg's law for the DFT cell and can differ from measured ones.

The 10 most intense peaks (15° ≤ 2θ ≤ 90°), low angle first:
Position (°2θ), d/Å, I/Imax
25.5, 3.494, 6
27.1, 3.292, 17
31.4, 2.851, 100
37.6, 2.394, 6
45.0, 2.016, 71
55.8, 1.647, 19
65.5, 1.425, 11
74.4, 1.276, 16
74.5, 1.274, 14
82.9, 1.164, 18

Atomic structure:
```
data_Dy2ScAs3
_chemical_formula_sum 'Dy2 Sc1 As3'
_cell_length_a 4.0349
_cell_length_b 4.0349
_cell_length_c 9.8571
_cell_angle_alpha 90.00
_cell_angle_beta 90.00
_cell_angle_gamma 120.00
_space_group_name_H-M_alt 'P 1'
_space_group_IT_number 1
loop_
_space_group_symop_operation_xyz
'x,y,z'
loop_
_atom_site_label
_atom_site_fract_x
_atom_site_fract_y
_atom_site_fract_z
Dy1 0.3333 0.6667 0.3273
Dy2 0.6667 0.3333 0.6727
Sc1 0.0000 0.0000 0.0000
As1 0.0000 0.0000 0.5000
As2 0.3333 0.6667 0.8463
As3 0.6667 0.3333 0.1537
```


Entry 5:
TbDyZr2As2: theoretical XRD peak list (copper Kα), based on DFT lattice parameters and positions (PBE).
Peak positions follow from Bragg's law for the DFT cell and can differ from measured ones.

The 10 most intense peaks (15° ≤ 2θ ≤ 90°), low angle first:
Position (°2θ), d/Å, I/Imax
27.5, 3.244, 35
30.9, 2.896, 31
32.9, 2.722, 100
33.7, 2.656, 40
35.7, 2.515, 54
38.4, 2.343, 72
44.2, 2.048, 61
56.8, 1.622, 36
58.1, 1.588, 26
64.3, 1.448, 20

Atomic structure:
```
data_TbDyZr2As2
_chemical_formula_sum 'Tb1 Dy1 Zr2 As2'
_cell_length_a 8.4788
_cell_length_b 8.4788
_cell_length_c 8.4788
_cell_angle_alpha 152.05
_cell_angle_beta 152.05
_cell_angle_gamma 39.94
_space_group_name_H-M_alt 'P 1'
_space_group_IT_number 1
loop_
_space_group_symop_operation_xyz
'x,y,z'
loop_
_atom_site_label
_atom_site_fract_x
_atom_site_fract_y
_atom_site_fract_z
Tb1 0.0000 0.0000 0.0000
Dy1 0.3554 0.3554 0.0000
Zr1 0.1780 0.6780 0.5000
Zr2 0.6780 0.1780 0.5000
As1 0.5456 0.5456 0.0000
As2 0.8103 0.8103 0.0000
```


Entry 6:
Dy2TmAs3: theoretical XRD peak list (copper Kα), based on DFT lattice parameters and positions (PBE).
Peak positions follow from Bragg's law for the DFT cell and can differ from measured ones.

The 10 most intense peaks (15° ≤ 2θ ≤ 90°), low angle first:
Position (°2θ), d/Å, I/Imax
26.7, 3.342, 24
30.9, 2.894, 100
44.3, 2.046, 74
52.4, 1.745, 12
55.0, 1.671, 26
64.4, 1.447, 12
71.0, 1.328, 5
73.1, 1.294, 33
81.5, 1.182, 25
87.6, 1.114, 4

Atomic structure:
```
data_Dy2TmAs3
_chemical_formula_sum 'Dy2 Tm1 As3'
_cell_length_a 4.0937
_cell_length_b 4.0937
_cell_length_c 10.0222
_cell_angle_alpha 90.00
_cell_angle_beta 90.00
_cell_angle_gamma 120.00
_space_group_name_H-M_alt 'P 1'
_space_group_IT_number 1
loop_
_space_group_symop_operation_xyz
'x,y,z'
loop_
_atom_site_label
_atom_site_fract_x
_atom_site_fract_y
_atom_site_fract_z
Dy1 0.3333 0.6667 0.3319
Dy2 0.6667 0.3333 0.6681
Tm1 0.0000 0.0000 0.0000
As1 0.0000 0.0000 0.5000
As2 0.3333 0.6667 0.8365
As3 0.6667 0.3333 0.1635
```


Entry 7:
GdErAsO: theoretical XRD peak list (copper Kα), based on DFT lattice parameters and positions (PBE).
Peak positions follow from Bragg's law for the DFT cell and can differ from measured ones.

The 10 most intense peaks (15° ≤ 2θ ≤ 90°), low angle first:
Position (°2θ), d/Å, I/Imax
20.2, 4.400, 30
28.9, 3.088, 73
30.9, 2.895, 100
35.7, 2.516, 47
37.0, 2.430, 37
41.7, 2.168, 62
51.1, 1.788, 33
51.5, 1.774, 29
56.9, 1.618, 21
68.7, 1.366, 24

Atomic structure:
```
data_GdErAsO
_chemical_formula_sum 'Gd2 Er2 As2 O2'
_cell_length_a 4.3358
_cell_length_b 4.3358
_cell_length_c 8.8006
_cell_angle_alpha 90.00
_cell_angle_beta 90.00
_cell_angle_gamma 90.00
_space_group_name_H-M_alt 'P 1'
_space_group_IT_number 1
loop_
_space_group_symop_operation_xyz
'x,y,z'
loop_
_atom_site_label
_atom_site_fract_x
_atom_site_fract_y
_atom_site_fract_z
Gd1 0.2500 0.2500 0.1040
Gd2 0.7500 0.7500 0.8960
Er1 0.2500 0.7500 0.5000
Er2 0.7500 0.2500 0.5000
As1 0.2500 0.2500 0.7013
As2 0.7500 0.7500 0.2987
O1 0.2500 0.7500 0.0000
O2 0.7500 0.2500 0.0000
```


Entry 8:
Er4Hf3As4: theoretical XRD peak list (copper Kα), based on DFT lattice parameters and positions (PBE).
Peak positions follow from Bragg's law for the DFT cell and can differ from measured ones.

The 10 most intense peaks (15° ≤ 2θ ≤ 90°), low angle first:
Position (°2θ), d/Å, I/Imax
28.7, 3.106, 27
32.2, 2.781, 34
33.9, 2.645, 100
34.4, 2.609, 73
36.4, 2.466, 92
37.9, 2.377, 29
38.5, 2.336, 63
39.8, 2.267, 26
47.3, 1.921, 44
57.6, 1.600, 26

Atomic structure:
```
data_Er4Hf3As4
_chemical_formula_sum 'Er4 Hf3 As4'
_cell_length_a 7.3692
_cell_length_b 3.8411
_cell_length_c 8.9155
_cell_angle_alpha 90.00
_cell_angle_beta 97.96
_cell_angle_gamma 90.00
_space_group_name_H-M_alt 'P 1'
_space_group_IT_number 1
loop_
_space_group_symop_operation_xyz
'x,y,z'
loop_
_atom_site_label
_atom_site_fract_x
_atom_site_fract_y
_atom_site_fract_z
Er1 0.0000 0.0000 0.0000
Er2 0.0716 0.5000 0.4491
Er3 0.4470 0.0000 0.5965
Er4 0.7442 0.5000 0.1484
Hf1 0.3173 0.5000 0.8768
Hf2 0.4414 0.0000 0.2259
Hf3 0.7864 0.5000 0.7504
As1 0.0789 0.0000 0.7008
As2 0.1983 0.5000 0.1612
As3 0.5957 0.0000 0.9199
As4 0.6503 0.5000 0.4398
```


Entry 9:
HoErNi2As2: theoretical XRD peak list (copper Kα), based on DFT lattice parameters and positions (PBE).
Peak positions follow from Bragg's law for the DFT cell and can differ from measured ones.

The 10 most intense peaks (15° ≤ 2θ ≤ 90°), low angle first:
Position (°2θ), d/Å, I/Imax
25.4, 3.510, 17
34.9, 2.572, 100
44.7, 2.027, 43
48.1, 1.890, 11
55.2, 1.664, 5
57.9, 1.592, 23
67.8, 1.382, 23
76.0, 1.252, 20
81.1, 1.186, 8
82.4, 1.170, 7

Atomic structure:
```
data_HoErNi2As2
_chemical_formula_sum 'Ho2 Er2 Ni4 As4'
_cell_length_a 4.0533
_cell_length_b 4.0533
_cell_length_c 15.1233
_cell_angle_alpha 90.00
_cell_angle_beta 90.00
_cell_angle_gamma 120.00
_space_group_name_H-M_alt 'P 1'
_space_group_IT_number 1
loop_
_space_group_symop_operation_xyz
'x,y,z'
loop_
_atom_site_label
_atom_site_fract_x
_atom_site_fract_y
_atom_site_fract_z
Ho1 0.0000 0.0000 0.0000
Ho2 0.0000 0.0000 0.5000
Er1 0.0000 0.0000 0.2500
Er2 0.0000 0.0000 0.7500
Ni1 0.3333 0.6667 0.1350
Ni2 0.3333 0.6667 0.3650
Ni3 0.6667 0.3333 0.6350
Ni4 0.6667 0.3333 0.8650
As1 0.3333 0.6667 0.6203
As2 0.3333 0.6667 0.8797
As3 0.6667 0.3333 0.1203
As4 0.6667 0.3333 0.3797
```


Entry 10:
Ho3ErSc2As2Os: theoretical XRD peak list (copper Kα), based on DFT lattice parameters and positions (PBE).
Peak positions follow from Bragg's law for the DFT cell and can differ from measured ones.

The 10 most intense peaks (15° ≤ 2θ ≤ 90°), low angle first:
Position (°2θ), d/Å, I/Imax
27.0, 3.298, 26
32.1, 2.791, 79
34.9, 2.571, 100
36.0, 2.496, 38
41.0, 2.200, 30
42.4, 2.132, 29
44.2, 2.050, 25
58.2, 1.584, 19
61.9, 1.500, 18
65.8, 1.420, 21

Atomic structure:
```
data_Ho3ErSc2As2Os
_chemical_formula_sum 'Ho3 Er1 Sc2 As2 Os1'
_cell_length_a 4.0992
_cell_length_b 7.6179
_cell_length_c 7.6179
_cell_angle_alpha 119.86
_cell_angle_beta 90.00
_cell_angle_gamma 90.00
_space_group_name_H-M_alt 'P 1'
_space_group_IT_number 1
loop_
_space_group_symop_operation_xyz
'x,y,z'
loop_
_atom_site_label
_atom_site_fract_x
_atom_site_fract_y
_atom_site_fract_z
Ho1 0.0000 0.0000 0.0000
Ho2 0.0000 0.1906 0.6007
Ho3 0.0000 0.6007 0.1906
Er1 0.5000 0.3631 0.3631
Sc1 0.5000 0.5978 0.8402
Sc2 0.5000 0.8402 0.5978
As1 0.5000 0.2641 0.9261
As2 0.5000 0.9261 0.2641
Os1 0.0000 0.6170 0.6170
```


Entry 11:
Y3Ho2ErAs2Os: theoretical XRD peak list (copper Kα), based on DFT lattice parameters and positions (PBE).
Peak positions follow from Bragg's law for the DFT cell and can differ from measured ones.

The 10 most intense peaks (15° ≤ 2θ ≤ 90°), low angle first:
Position (°2θ), d/Å, I/Imax
31.3, 2.856, 93
34.0, 2.634, 100
34.8, 2.576, 60
39.7, 2.272, 34
41.2, 2.189, 76
43.6, 2.076, 30
57.0, 1.616, 29
60.4, 1.532, 20
63.6, 1.464, 26
63.6, 1.462, 13

Atomic structure:
```
data_Y3Ho2ErAs2Os
_chemical_formula_sum 'Y3 Ho2 Er1 As2 Os1'
_cell_length_a 4.1515
_cell_length_b 7.8655
_cell_length_c 7.8655
_cell_angle_alpha 119.90
_cell_angle_beta 90.00
_cell_angle_gamma 90.00
_space_group_name_H-M_alt 'P 1'
_space_group_IT_number 1
loop_
_space_group_symop_operation_xyz
'x,y,z'
loop_
_atom_site_label
_atom_site_fract_x
_atom_site_fract_y
_atom_site_fract_z
Y1 0.0000 0.0000 0.0000
Y2 0.0000 0.1883 0.5935
Y3 0.0000 0.5935 0.1883
Ho1 0.5000 0.5937 0.8376
Ho2 0.5000 0.8376 0.5937
Er1 0.5000 0.3496 0.3496
As1 0.5000 0.2603 0.9279
As2 0.5000 0.9279 0.2603
Os1 0.0000 0.5920 0.5920
```


Entry 12:
YErAsI2: theoretical XRD peak list (copper Kα), based on DFT lattice parameters and positions (PBE).
Peak positions follow from Bragg's law for the DFT cell and can differ from measured ones.

The 10 most intense peaks (15° ≤ 2θ ≤ 90°), low angle first:
Position (°2θ), d/Å, I/Imax
24.7, 3.604, 17
29.8, 3.001, 100
35.2, 2.552, 9
41.7, 2.167, 32
43.5, 2.080, 32
53.6, 1.709, 19
61.8, 1.501, 12
68.8, 1.364, 10
71.4, 1.321, 16
78.6, 1.217, 10

Atomic structure:
```
data_YErAsI2
_chemical_formula_sum 'Y1 Er1 As1 I2'
_cell_length_a 4.1599
_cell_length_b 4.1599
_cell_length_c 10.8473
_cell_angle_alpha 90.00
_cell_angle_beta 90.00
_cell_angle_gamma 120.00
_space_group_name_H-M_alt 'P 1'
_space_group_IT_number 1
loop_
_space_group_symop_operation_xyz
'x,y,z'
loop_
_atom_site_label
_atom_site_fract_x
_atom_site_fract_y
_atom_site_fract_z
Y1 0.0000 0.0000 0.0000
Er1 0.6667 0.3333 0.7182
As1 0.3333 0.6667 0.8564
I1 0.0000 0.0000 0.5341
I2 0.6667 0.3333 0.1867
```